# PmTmHfTh
Calculated XRD peak list, a wavelength of 1.5418 Å. Input: a cell relaxed with GGA-PBE.

Crystal structure
a b c (Å): 7.7455 7.7455 7.7455
angles (deg): 90.00 90.00 90.00
Space group F-43m (No. 216)
Unique sites:
Pm1 0.0000 0.0000 0.0000
Tm1 0.2500 0.2500 0.2500
Hf1 0.2500 0.2500 0.7500
Th1 0.0000 0.0000 0.5000

Largest 10 diffraction maxima, in order of falling intensity, 10° ≤ 2θ ≤ 80°:
d [Å], I (rel.)
2.738, 100
1.581, 39
1.936, 19
1.225, 17
1.369, 12
4.472, 2
2.335, 2
1.777, 1
1.309, 1
1.491, 1